Record 1
Computed powder XRD pattern of Ac6Co2Ag3 for Cu Ka, from a GGA-PBE-relaxed structure.
No peak broadening, texture or thermal motion is included.

Main lines, low angle first (10° ≤ 2θ ≤ 90°):
d = 3.601 Å, 24.72°, I 27
d = 2.851 Å, 31.38°, I 96
d = 2.697 Å, 33.22°, I 100
d = 1.959 Å, 46.34°, I 33
d = 1.585 Å, 58.20°, I 34
d = 1.557 Å, 59.35°, I 19

Crystal structure
```
data_Ac6Co2Ag3
_cell_length_a 5.3943
_cell_length_b 5.3943
_cell_length_c 39.5811
_cell_angle_alpha 90.00
_cell_angle_beta 90.00
_cell_angle_gamma 120.00
_symmetry_space_group_name_H-M 'R -3 m'
_symmetry_Int_Tables_number 166
_symmetry_space_group_name_Hall '-R 3 2"'
loop_
_atom_site_label
_atom_site_type_symbol
_atom_site_fract_x
_atom_site_fract_y
_atom_site_fract_z
Ac1 Ac 0.0000 0.0000 0.0905
Ac2 Ac 0.0000 0.0000 0.1903
Ac3 Ac 0.0000 0.0000 0.3646
Co1 Co 0.0000 0.0000 0.4715
Ag1 Ag 0.0000 0.0000 0.0000
Ag2 Ag 0.0000 0.0000 0.2774
```

Record 2
Computed powder XRD pattern of Y3TaAg3S8 for Cu Ka, from a GGA-PBE-relaxed structure.
No peak broadening, texture or thermal motion is included.

Main lines, low angle first (10° ≤ 2θ ≤ 90°):
d = 6.373 Å, 13.90°, I 52
d = 3.186 Å, 28.00°, I 55
d = 2.771 Å, 32.30°, I 100
d = 2.760 Å, 32.43°, I 50
d = 1.963 Å, 46.25°, I 34
d = 1.948 Å, 46.62°, I 51

Crystal structure
```
data_Y3TaAg3S8
_cell_length_a 13.4984
_cell_length_b 7.7941
_cell_length_c 7.8832
_cell_angle_alpha 90.00
_cell_angle_beta 125.12
_cell_angle_gamma 90.00
_symmetry_space_group_name_H-M 'C 1 2/m 1'
_symmetry_Int_Tables_number 12
loop_
_symmetry_equiv_pos_as_xyz
'x,y,z'
'-x,-y,-z'
'-x,y,-z'
'x,-y,z'
'x+1/2,y+1/2,z'
'-x+1/2,-y+1/2,-z'
'-x+1/2,y+1/2,-z'
'x+1/2,-y+1/2,z'
loop_
_atom_site_label
_atom_site_type_symbol
_atom_site_fract_x
_atom_site_fract_y
_atom_site_fract_z
Y1 Y 0.0000 0.0000 0.0000
Y2 Y 0.2500 0.2500 0.0000
Ta1 Ta 0.0000 0.5000 0.0000
Ag1 Ag 0.0000 0.5000 0.5000
Ag2 Ag 0.2500 0.2500 0.5000
S1 S 0.0013 0.2703 0.7758
S2 S 0.2284 0.5000 0.2240
S3 S 0.2474 0.0000 0.2403
```

Record 3
Computed powder XRD pattern of MgBeSi for Cu Ka, from a GGA-PBE-relaxed structure.
No peak broadening, texture or thermal motion is included.

Main lines, low angle first (10° ≤ 2θ ≤ 90°):
d = 3.142 Å, 28.41°, I 32
d = 2.679 Å, 33.45°, I 100
d = 2.418 Å, 37.18°, I 75
d = 2.038 Å, 44.44°, I 68
d = 1.894 Å, 48.03°, I 54
d = 1.491 Å, 62.26°, I 31

Crystal structure
```
data_MgBeSi
_cell_length_a 3.7885
_cell_length_b 3.7885
_cell_length_c 6.2834
_cell_angle_alpha 90.00
_cell_angle_beta 90.00
_cell_angle_gamma 90.00
_symmetry_space_group_name_H-M 'P 4/n m m'
_symmetry_Int_Tables_number 129
loop_
_symmetry_equiv_pos_as_xyz
'x,y,z'
'-x,-y,-z'
'-y+1/2,x,z'
'y+1/2,-x,-z'
'-x+1/2,-y+1/2,z'
'x+1/2,y+1/2,-z'
'y,-x+1/2,z'
'-y,x+1/2,-z'
'x+1/2,-y,-z'
'-x+1/2,y,z'
'-y,-x,-z'
'y,x,z'
'-x,y+1/2,-z'
'x,-y+1/2,z'
'y+1/2,x+1/2,-z'
'-y+1/2,-x+1/2,z'
loop_
_atom_site_label
_atom_site_type_symbol
_atom_site_fract_x
_atom_site_fract_y
_atom_site_fract_z
Mg1 Mg 0.2500 0.2500 0.1577
Be1 Be 0.2500 0.7500 0.5000
Si1 Si 0.2500 0.2500 0.7196
```

Record 4
Computed powder XRD pattern of HfPaAu6 for Cu Ka, from a GGA-PBE-relaxed structure.
No peak broadening, texture or thermal motion is included.

Main lines, low angle first (10° ≤ 2θ ≤ 90°):
d = 7.348 Å, 12.04°, I 53
d = 3.640 Å, 24.46°, I 53
d = 2.409 Å, 37.33°, I 97
d = 2.367 Å, 38.01°, I 100
d = 2.226 Å, 40.52°, I 65
d = 1.921 Å, 47.33°, I 49

Crystal structure
```
data_HfPaAu6
_cell_length_a 5.5970
_cell_length_b 5.5970
_cell_length_c 22.0447
_cell_angle_alpha 90.00
_cell_angle_beta 90.00
_cell_angle_gamma 120.00
_symmetry_space_group_name_H-M 'R -3 m'
_symmetry_Int_Tables_number 166
_symmetry_space_group_name_Hall '-R 3 2"'
loop_
_atom_site_label
_atom_site_type_symbol
_atom_site_fract_x
_atom_site_fract_y
_atom_site_fract_z
Hf1 Hf 0.0000 0.0000 0.0000
Pa1 Pa 0.0000 0.0000 0.5000
Au1 Au 0.0066 0.5033 0.4319
```

Record 5
Computed powder XRD pattern of BiPO4 for Cu Ka, from a GGA-PBE-relaxed structure.
No peak broadening, texture or thermal motion is included.

Main lines, low angle first (10° ≤ 2θ ≤ 90°):
d = 6.126 Å, 14.46°, I 79
d = 4.456 Å, 19.92°, I 100
d = 3.063 Å, 29.15°, I 93
d = 2.869 Å, 31.18°, I 77
d = 2.181 Å, 41.40°, I 49
d = 1.885 Å, 48.27°, I 49

Crystal structure
```
data_BiPO4
_cell_length_a 7.0742
_cell_length_b 7.0742
_cell_length_c 6.4939
_cell_angle_alpha 90.00
_cell_angle_beta 90.00
_cell_angle_gamma 120.00
_symmetry_space_group_name_H-M 'P 31 2 1'
_symmetry_Int_Tables_number 152
loop_
_symmetry_equiv_pos_as_xyz
'x,y,z'
'-y,x-y,z+1/3'
'-x+y,-x,z+2/3'
'y,x,-z'
'x-y,-y,-z+2/3'
'-x,-x+y,-z+1/3'
loop_
_atom_site_label
_atom_site_type_symbol
_atom_site_fract_x
_atom_site_fract_y
_atom_site_fract_z
Bi1 Bi 0.0000 0.4859 0.1667
P1 P 0.0000 0.4446 0.6667
O1 O 0.1255 0.6314 0.8255
O2 O 0.1530 0.3965 0.5324
```

Record 6
Computed powder XRD pattern of AlNiRh14 for Cu Ka, from a GGA-PBE-relaxed structure.
No peak broadening, texture or thermal motion is included.

Main lines, low angle first (10° ≤ 2θ ≤ 90°):
d = 2.212 Å, 40.80°, I 100
d = 1.915 Å, 47.47°, I 48
d = 1.354 Å, 69.39°, I 30
d = 1.156 Å, 83.65°, I 12
d = 1.155 Å, 83.78°, I 24
d = 1.106 Å, 88.39°, I 11

Crystal structure
```
data_AlNiRh14
_cell_length_a 5.4143
_cell_length_b 5.4143
_cell_length_c 7.6709
_cell_angle_alpha 90.00
_cell_angle_beta 90.00
_cell_angle_gamma 90.00
_symmetry_space_group_name_H-M 'P 4/m m m'
_symmetry_Int_Tables_number 123
_symmetry_space_group_name_Hall '-P 4 2'
loop_
_atom_site_label
_atom_site_type_symbol
_atom_site_fract_x
_atom_site_fract_y
_atom_site_fract_z
Al1 Al 0.0000 0.0000 0.0000
Ni1 Ni 0.5000 0.5000 0.0000
Rh1 Rh 0.0000 0.0000 0.5000
Rh2 Rh 0.0000 0.5000 0.0000
Rh3 Rh 0.0000 0.5000 0.5000
Rh4 Rh 0.2506 0.2506 0.2493
Rh5 Rh 0.5000 0.5000 0.5000
```

Record 7
Computed powder XRD pattern of LiPr2In2 for Cu Ka, from a GGA-PBE-relaxed structure.
No peak broadening, texture or thermal motion is included.

Main lines, low angle first (10° ≤ 2θ ≤ 90°):
d = 3.389 Å, 26.30°, I 90
d = 3.332 Å, 26.76°, I 82
d = 3.272 Å, 27.26°, I 100
d = 2.354 Å, 38.23°, I 70
d = 2.335 Å, 38.57°, I 65
d = 1.923 Å, 47.28°, I 57

Crystal structure
```
data_LiPr2In2
_cell_length_a 6.7784
_cell_length_b 13.3274
_cell_length_c 6.5440
_cell_angle_alpha 90.00
_cell_angle_beta 90.00
_cell_angle_gamma 90.00
_symmetry_space_group_name_H-M 'I b a m'
_symmetry_Int_Tables_number 72
_symmetry_space_group_name_Hall '-I 2 2c'
loop_
_atom_site_label
_atom_site_type_symbol
_atom_site_fract_x
_atom_site_fract_y
_atom_site_fract_z
Li1 Li 0.0000 0.0000 0.2500
Pr1 Pr 0.2090 0.3533 0.0000
In1 In 0.2267 0.1097 0.0000
```

Record 8
Computed powder XRD pattern of ErB3C for Cu Ka, from a GGA-PBE-relaxed structure.
No peak broadening, texture or thermal motion is included.

Main lines, low angle first (10° ≤ 2θ ≤ 90°):
d = 5.129 Å, 17.29°, I 100
d = 2.892 Å, 30.92°, I 65
d = 2.835 Å, 31.56°, I 61
d = 2.565 Å, 34.99°, I 28
d = 2.290 Å, 39.35°, I 46
d = 2.207 Å, 40.89°, I 43

Crystal structure
```
data_ErB3C
_cell_length_a 4.2343
_cell_length_b 4.2045
_cell_length_c 5.4517
_cell_angle_alpha 90.00
_cell_angle_beta 109.81
_cell_angle_gamma 90.00
_symmetry_space_group_name_H-M 'C 1 m 1'
_symmetry_Int_Tables_number 8
loop_
_symmetry_equiv_pos_as_xyz
'x,y,z'
'x,-y,z'
'x+1/2,y+1/2,z'
'x+1/2,-y+1/2,z'
loop_
_atom_site_label
_atom_site_type_symbol
_atom_site_fract_x
_atom_site_fract_y
_atom_site_fract_z
Er1 Er 0.0000 0.0000 0.0000
B1 B 0.0312 0.2296 0.5054
B2 B 0.3763 0.0000 0.6935
C1 C 0.1581 0.5000 0.3263
```

Record 9
Computed powder XRD pattern of PmBiIrAu for Cu Ka, from a GGA-PBE-relaxed structure.
No peak broadening, texture or thermal motion is included.

Main lines, low angle first (10° ≤ 2θ ≤ 90°):
d = 4.106 Å, 21.64°, I 1
d = 2.514 Å, 35.71°, I 100
d = 1.778 Å, 51.39°, I 18
d = 1.452 Å, 64.16°, I 37
d = 1.257 Å, 75.65°, I 12
d = 1.124 Å, 86.57°, I 17

Crystal structure
```
data_PmBiIrAu
_cell_length_a 7.1116
_cell_length_b 7.1116
_cell_length_c 7.1116
_cell_angle_alpha 90.00
_cell_angle_beta 90.00
_cell_angle_gamma 90.00
_symmetry_space_group_name_H-M 'F -4 3 m'
_symmetry_Int_Tables_number 216
_symmetry_space_group_name_Hall 'F -4 2 3'
loop_
_atom_site_label
_atom_site_type_symbol
_atom_site_fract_x
_atom_site_fract_y
_atom_site_fract_z
Pm1 Pm 0.0000 0.0000 0.0000
Bi1 Bi 0.0000 0.0000 0.5000
Ir1 Ir 0.2500 0.2500 0.2500
Au1 Au 0.2500 0.2500 0.7500
```

Record 10
Computed powder XRD pattern of HoCdPd5 for Cu Ka, from a GGA-PBE-relaxed structure.
No peak broadening, texture or thermal motion is included.

Main lines, low angle first (10° ≤ 2θ ≤ 90°):
d = 2.375 Å, 37.88°, I 78
d = 2.343 Å, 38.43°, I 35
d = 2.317 Å, 38.87°, I 100
d = 2.274 Å, 39.64°, I 53
d = 2.266 Å, 39.77°, I 65
d = 1.907 Å, 47.68°, I 58

Crystal structure
```
data_HoCdPd5
_cell_length_a 5.1788
_cell_length_b 5.3855
_cell_length_c 9.5017
_cell_angle_alpha 90.00
_cell_angle_beta 90.00
_cell_angle_gamma 90.00
_symmetry_space_group_name_H-M 'I m m 2'
_symmetry_Int_Tables_number 44
loop_
_symmetry_equiv_pos_as_xyz
'x,y,z'
'-x,-y,z'
'-x,y,z'
'x,-y,z'
'x+1/2,y+1/2,z+1/2'
'-x+1/2,-y+1/2,z+1/2'
'-x+1/2,y+1/2,z+1/2'
'x+1/2,-y+1/2,z+1/2'
loop_
_atom_site_label
_atom_site_type_symbol
_atom_site_fract_x
_atom_site_fract_y
_atom_site_fract_z
Ho1 Ho 0.0000 0.0000 0.0000
Cd1 Cd 0.0000 0.5000 0.2739
Pd1 Pd 0.0000 0.0000 0.2701
Pd2 Pd 0.0000 0.2541 0.7420
Pd3 Pd 0.2495 0.5000 0.0122
```

Record 11
Computed powder XRD pattern of Mg3ScPt4 for Cu Ka, from a GGA-PBE-relaxed structure.
No peak broadening, texture or thermal motion is included.

Main lines, low angle first (10° ≤ 2θ ≤ 90°):
d = 3.334 Å, 26.74°, I 78
d = 2.960 Å, 30.19°, I 32
d = 2.371 Å, 37.94°, I 23
d = 2.344 Å, 38.41°, I 32
d = 2.213 Å, 40.77°, I 100
d = 1.327 Å, 71.06°, I 19

Crystal structure
```
data_Mg3ScPt4
_cell_length_a 9.3743
_cell_length_b 5.9201
_cell_length_c 4.7427
_cell_angle_alpha 90.00
_cell_angle_beta 90.00
_cell_angle_gamma 90.00
_symmetry_space_group_name_H-M 'P m m a'
_symmetry_Int_Tables_number 51
loop_
_symmetry_equiv_pos_as_xyz
'x,y,z'
'-x,-y,-z'
'-x+1/2,-y,z'
'x+1/2,y,-z'
'x+1/2,-y,-z'
'-x+1/2,y,z'
'-x,y,-z'
'x,-y,z'
loop_
_atom_site_label
_atom_site_type_symbol
_atom_site_fract_x
_atom_site_fract_y
_atom_site_fract_z
Mg1 Mg 0.0000 0.0000 0.0000
Mg2 Mg 0.2500 0.0000 0.4347
Mg3 Mg 0.2500 0.5000 0.4445
Sc1 Sc 0.0000 0.5000 0.0000
Pt1 Pt 0.0000 0.2471 0.5000
Pt2 Pt 0.2500 0.2460 0.9316
```

Record 12
Computed powder XRD pattern of SmIn12Ir6 for Cu Ka, from a GGA-PBE-relaxed structure.
No peak broadening, texture or thermal motion is included.

Main lines, low angle first (10° ≤ 2θ ≤ 90°):
d = 3.745 Å, 23.76°, I 58
d = 2.862 Å, 31.26°, I 73
d = 2.405 Å, 37.39°, I 100
d = 2.327 Å, 38.69°, I 80
d = 2.101 Å, 43.06°, I 73
d = 1.962 Å, 46.28°, I 72

Crystal structure
```
data_SmIn12Ir6
_cell_length_a 12.5496
_cell_length_b 12.5496
_cell_length_c 9.1111
_cell_angle_alpha 90.00
_cell_angle_beta 90.00
_cell_angle_gamma 120.00
_symmetry_space_group_name_H-M 'R -3 m'
_symmetry_Int_Tables_number 166
_symmetry_space_group_name_Hall '-R 3 2"'
loop_
_atom_site_label
_atom_site_type_symbol
_atom_site_fract_x
_atom_site_fract_y
_atom_site_fract_z
Sm1 Sm 0.0000 0.0000 0.0000
In1 In 0.0000 0.3805 0.5000
In2 In 0.0869 0.1739 0.3196
Ir1 Ir 0.0518 0.5259 0.2546
```